Entry 1:
Al2S3O12: theoretical X-ray powder pattern (CuKα), based on a GGA-PBE-relaxed structure.
Kinematic intensities with the Lorentz-polarization factor, no thermal factor.

Peak list (6 most intense, 2θ = 10–90°, by angle)
2θ 14.99, rel. 34
2θ 20.68, rel. 15
2θ 24.67, rel. 13
2θ 25.11, rel. 100
2θ 30.25, rel. 20
2θ 33.17, rel. 18

Atomic structure:
```
Al2S3O12
1.0
4.071 2.350 7.219
-4.071 2.350 7.219
0.000 -4.701 7.219
Al S O
4 6 24
direct
0.144 0.144 0.144
0.352 0.352 0.352
0.648 0.648 0.648
0.856 0.856 0.856
0.037 0.461 0.751
0.249 0.963 0.539
0.461 0.751 0.037
0.539 0.249 0.963
0.751 0.037 0.461
0.963 0.539 0.249
0.008 0.623 0.790
0.101 0.893 0.733
0.107 0.267 0.899
0.154 0.519 0.232
0.188 0.470 0.549
0.210 0.992 0.377
0.232 0.154 0.519
0.267 0.899 0.107
0.377 0.210 0.992
0.451 0.812 0.530
0.470 0.549 0.188
0.481 0.768 0.846
0.519 0.232 0.154
0.530 0.451 0.812
0.549 0.188 0.470
0.623 0.790 0.008
0.733 0.101 0.893
0.768 0.846 0.481
0.790 0.008 0.623
0.812 0.530 0.451
0.846 0.481 0.768
0.893 0.733 0.101
0.899 0.107 0.267
0.992 0.377 0.210
```



Entry 2:
Ce3HfSb5: theoretical X-ray powder pattern (CuKα), based on a GGA-PBE-relaxed structure.
Kinematic intensities with the Lorentz-polarization factor, no thermal factor.

Peak list (6 most intense, 2θ = 10–90°, by angle)
2θ 32.23, rel. 55
2θ 32.83, rel. 83
2θ 34.16, rel. 100
2θ 48.11, rel. 29
2θ 59.47, rel. 18
2θ 68.70, rel. 19

Atomic structure:
```
Ce3HfSb5
1.0
9.449 0.000 0.000
-4.725 8.183 0.000
0.000 0.000 6.314
Ce Hf Sb
6 2 10
direct
0.000 0.382 0.250
0.000 0.618 0.750
0.382 0.000 0.250
0.382 0.382 0.750
0.618 0.000 0.750
0.618 0.618 0.250
0.000 0.000 0.000
0.000 0.000 0.500
0.000 0.267 0.750
0.000 0.733 0.250
0.267 0.000 0.750
0.267 0.267 0.250
0.333 0.667 0.000
0.333 0.667 0.500
0.667 0.333 0.000
0.667 0.333 0.500
0.733 0.000 0.250
0.733 0.733 0.750
```



Entry 3:
Ba3EuRu2O9: theoretical X-ray powder pattern (CuKα), based on a GGA-PBE-relaxed structure.
Kinematic intensities with the Lorentz-polarization factor, no thermal factor.

Peak list (6 most intense, 2θ = 10–90°, by angle)
2θ 24.94, rel. 12
2θ 29.73, rel. 100
2θ 42.55, rel. 24
2θ 52.77, rel. 31
2θ 61.75, rel. 14
2θ 85.50, rel. 17

Atomic structure:
```
Ba3EuRu2O9
1.0
6.009 0.000 0.000
-3.005 5.204 0.000
0.000 0.000 14.721
Ba Eu Ru O
6 2 4 18
direct
0.000 0.000 0.250
0.000 0.000 0.750
0.333 0.667 0.098
0.333 0.667 0.402
0.667 0.333 0.598
0.667 0.333 0.902
0.000 0.000 0.000
0.000 0.000 0.500
0.333 0.667 0.665
0.333 0.667 0.835
0.667 0.333 0.165
0.667 0.333 0.335
0.017 0.509 0.750
0.179 0.358 0.591
0.179 0.358 0.909
0.179 0.821 0.591
0.179 0.821 0.909
0.358 0.179 0.091
0.358 0.179 0.409
0.491 0.509 0.750
0.491 0.983 0.750
0.509 0.017 0.250
0.509 0.491 0.250
0.642 0.821 0.591
0.642 0.821 0.909
0.821 0.179 0.091
0.821 0.179 0.409
0.821 0.642 0.091
0.821 0.642 0.409
0.983 0.491 0.250
```